[1]
# Ca3Ta
Calculated powder XRD pattern, a wavelength of 1.5418 Å. Input: a PBE-relaxed structure.

Top 12 peaks for 10° ≤ 2θ ≤ 80°, sorted by position:
hkl 1 0 0, 2θ = 14.35°, I = 30; hkl 1 0 1, 2θ = 21.20°, I = 53; hkl 1 1 0, 2θ = 24.98°, I = 27; hkl 2 0 0, 2θ = 28.93°, I = 24; hkl 0 0 2, 2θ = 31.34°, I = 26; hkl 2 0 1, 2θ = 32.99°, I = 100; hkl 1 1 2, 2θ = 40.49°, I = 16; hkl 2 1 1, 2θ = 41.82°, I = 25; hkl 2 0 2, 2θ = 43.17°, I = 16; hkl 2 2 0, 2θ = 51.26°, I = 18; hkl 2 0 3, 2θ = 56.84°, I = 20; hkl 2 2 2, 2θ = 61.32°, I = 21

Atomic structure:
```
data_Ca3Ta
_chemical_formula_sum 'Ca6 Ta2'
_space_group_name_H-M_alt 'P 63/m m c'
_space_group_IT_number 194
_space_group_name_Hall '-P 6c 2c'
_cell_length_a 7.1285
_cell_length_b 7.1285
_cell_length_c 5.7090
_cell_angle_alpha 90.00
_cell_angle_beta 90.00
_cell_angle_gamma 120.00
loop_
_atom_site_label
_atom_site_fract_x
_atom_site_fract_y
_atom_site_fract_z
Ca1 0.1756 0.3513 0.2500
Ta1 0.3333 0.6667 0.7500
```

***

[2]
# CeSBr
Calculated powder XRD pattern, a wavelength of 1.5418 Å. Input: a PBE-relaxed structure.

Top 12 peaks for 10° ≤ 2θ ≤ 80°, sorted by position:
hkl 1 2 1, 2θ = 21.96°, I = 100; hkl 0 0 2, 2θ = 25.01°, I = 20; hkl 2 0 0, 2θ = 25.66°, I = 28; hkl 2 1 0, 2θ = 26.46°, I = 16; hkl 1 2 2, 2θ = 31.01°, I = 26; hkl 1 4 1, 2θ = 31.35°, I = 93; hkl 2 0 2, 2θ = 36.12°, I = 53; hkl 2 4 0, 2θ = 36.54°, I = 16; hkl 2 2 2, 2θ = 38.43°, I = 27; hkl 1 2 3, 2θ = 42.28°, I = 27; hkl 3 2 1, 2θ = 43.10°, I = 31; hkl 2 6 0, 2θ = 47.07°, I = 15

Atomic structure:
```
data_CeSBr
_chemical_formula_sum 'Ce8 S8 Br8'
_space_group_name_H-M_alt 'P b c a'
_space_group_IT_number 61
_cell_length_a 6.943
_cell_length_b 13.938
_cell_length_c 7.120
_cell_angle_alpha 90.00
_cell_angle_beta 90.00
_cell_angle_gamma 90.00
loop_
_space_group_symop_operation_xyz
'x,y,z'
'-x,-y,-z'
'-x+1/2,-y,z+1/2'
'x+1/2,y,-z+1/2'
'x+1/2,-y+1/2,-z'
'-x+1/2,y+1/2,z'
'-x,y+1/2,-z+1/2'
'x,-y+1/2,z+1/2'
loop_
_atom_site_label
_atom_site_fract_x
_atom_site_fract_y
_atom_site_fract_z
Ce1 0.243 0.091 0.033
S1 0.001 0.024 0.742
Br1 0.146 0.709 0.386
```

***

[3]
# Sr2MgNiH6
Calculated powder XRD pattern, a wavelength of 1.5418 Å. Input: a PBE-relaxed structure.

Top 12 peaks for 10° ≤ 2θ ≤ 80°, sorted by position:
hkl 0 0 1, 2θ = 18.41°, I = 16; hkl 1 0 1, 2θ = 26.46°, I = 100; hkl 1 1 0, 2θ = 32.94°, I = 94; hkl 1 1 1, 2θ = 37.99°, I = 14; hkl 1 0 2, 2θ = 42.12°, I = 45; hkl 0 2 1, 2θ = 42.73°, I = 30; hkl 0 2 2, 2θ = 54.48°, I = 22; hkl 2 1 1, 2θ = 54.99°, I = 26; hkl 3 0 0, 2θ = 58.82°, I = 17; hkl 2 1 2, 2θ = 65.15°, I = 24; hkl 2 2 0, 2θ = 69.08°, I = 11; hkl 1 3 1, 2θ = 75.39°, I = 10

Atomic structure:
```
data_Sr2MgNiH6
_chemical_formula_sum 'Sr2 Mg1 Ni1 H6'
_space_group_name_H-M_alt 'P -3 m 1'
_space_group_IT_number 164
_space_group_name_Hall '-P 3 2"'
_cell_length_a 5.4388
_cell_length_b 5.4388
_cell_length_c 4.8191
_cell_angle_alpha 90.00
_cell_angle_beta 90.00
_cell_angle_gamma 120.00
loop_
_atom_site_label
_atom_site_fract_x
_atom_site_fract_y
_atom_site_fract_z
Sr1 0.3333 0.6667 0.2952
Mg1 0.0000 0.0000 0.0000
Ni1 0.0000 0.0000 0.5000
H1 0.1551 0.3102 0.7163
```

***

[4]
# Nd2TlRh3
Calculated powder XRD pattern, a wavelength of 1.5418 Å. Input: a PBE-relaxed structure.

Top 12 peaks for 10° ≤ 2θ ≤ 80°, sorted by position:
hkl 1 1 0, 2θ = 24.56°, I = 10; hkl 0 2 0, 2θ = 32.15°, I = 57; hkl 1 0 3, 2θ = 32.67°, I = 100; hkl 2 0 0, 2θ = 37.67°, I = 37; hkl 1 2 3, 2θ = 46.49°, I = 75; hkl 2 2 0, 2θ = 50.34°, I = 32; hkl 3 0 3, 2θ = 64.85°, I = 14; hkl 0 2 6, 2θ = 65.01°, I = 10; hkl 3 2 3, 2θ = 74.24°, I = 18; hkl 1 4 3, 2θ = 76.80°, I = 17; hkl 2 2 6, 2θ = 77.64°, I = 13; hkl 2 4 0, 2θ = 79.74°, I = 10

Atomic structure:
```
data_Nd2TlRh3
_chemical_formula_sum 'Nd4 Tl2 Rh6'
_space_group_name_H-M_alt 'I m m m'
_space_group_IT_number 71
_space_group_name_Hall '-I 2 2'
_cell_length_a 4.776
_cell_length_b 5.568
_cell_length_c 10.043
_cell_angle_alpha 90.00
_cell_angle_beta 90.00
_cell_angle_gamma 90.00
loop_
_atom_site_label
_atom_site_fract_x
_atom_site_fract_y
_atom_site_fract_z
Nd1 0.000 0.000 0.179
Tl1 0.000 0.000 0.500
Rh1 0.000 0.500 0.140
Rh2 0.000 0.500 0.500
```

***

[5]
# Ca3SiCl2O4
Calculated powder XRD pattern, a wavelength of 1.5418 Å. Input: a PBE-relaxed structure.

Top 12 peaks for 10° ≤ 2θ ≤ 80°, sorted by position:
hkl 0 0 2, 2θ = 16.83°, I = 22; hkl 1 0 2, 2θ = 21.33°, I = 21; hkl 0 2 0, 2θ = 25.99°, I = 100; hkl 3 1 0, 2θ = 30.96°, I = 72; hkl 1 2 -2, 2θ = 31.16°, I = 62; hkl 1 0 -4, 2θ = 32.80°, I = 88; hkl 2 1 3, 2θ = 38.07°, I = 16; hkl 1 3 1, 2θ = 42.07°, I = 22; hkl 2 2 -4, 2θ = 43.42°, I = 30; hkl 2 1 4, 2θ = 45.62°, I = 48; hkl 4 1 -4, 2θ = 45.80°, I = 30; hkl 4 3 -2, 2θ = 55.04°, I = 29

Atomic structure:
```
data_Ca3SiCl2O4
_chemical_formula_sum 'Ca12 Si4 Cl8 O16'
_space_group_name_H-M_alt 'P 1 21/c 1'
_space_group_IT_number 14
_cell_length_a 9.929
_cell_length_b 6.855
_cell_length_c 10.923
_cell_angle_alpha 90.00
_cell_angle_beta 105.76
_cell_angle_gamma 90.00
loop_
_space_group_symop_operation_xyz
'x,y,z'
'-x,-y,-z'
'-x,y+1/2,-z+1/2'
'x,-y+1/2,z+1/2'
loop_
_atom_site_label
_atom_site_fract_x
_atom_site_fract_y
_atom_site_fract_z
Ca1 0.077 0.216 0.390
Ca2 0.300 0.741 0.453
Ca3 0.422 0.035 0.728
Si1 0.383 0.250 0.470
Cl1 0.011 0.198 0.626
Cl2 0.211 0.685 0.680
O1 0.268 0.083 0.899
O2 0.283 0.067 0.493
O3 0.487 0.208 0.379
O4 0.489 0.197 0.111
```

***

[6]
# Al2CrP
Calculated powder XRD pattern, a wavelength of 1.5418 Å. Input: a PBE-relaxed structure.

Top 12 peaks for 10° ≤ 2θ ≤ 80°, sorted by position:
hkl 0 0 2, 2θ = 18.09°, I = 19; hkl 0 1 1, 2θ = 26.98°, I = 39; hkl 0 0 4, 2θ = 36.64°, I = 16; hkl 0 1 3, 2θ = 37.59°, I = 34; hkl 1 1 1, 2θ = 38.33°, I = 100; hkl 1 0 4, 2θ = 45.92°, I = 55; hkl 1 1 3, 2θ = 46.72°, I = 57; hkl 0 2 0, 2θ = 52.11°, I = 24; hkl 0 1 5, 2θ = 53.51°, I = 16; hkl 2 0 0, 2θ = 55.04°, I = 20; hkl 1 2 4, 2θ = 71.96°, I = 27; hkl 2 2 0, 2θ = 79.22°, I = 13

Atomic structure:
```
data_Al2CrP
_chemical_formula_sum 'Al4 Cr2 P2'
_space_group_name_H-M_alt 'A m m 2'
_space_group_IT_number 38
_cell_length_a 3.337
_cell_length_b 3.510
_cell_length_c 9.810
_cell_angle_alpha 90.00
_cell_angle_beta 90.00
_cell_angle_gamma 90.00
loop_
_space_group_symop_operation_xyz
'x,y,z'
'-x,-y,z'
'-x,y,z'
'x,-y,z'
'x,y+1/2,z+1/2'
'-x,-y+1/2,z+1/2'
'-x,y+1/2,z+1/2'
'x,-y+1/2,z+1/2'
loop_
_atom_site_label
_atom_site_fract_x
_atom_site_fract_y
_atom_site_fract_z
Al1 0.000 0.000 0.000
Al2 0.500 0.000 0.321
Cr1 0.000 0.000 0.728
P1 0.500 0.000 0.572
```